(1)
Computed PXRD pattern
Compound: Mg14CuC
Radiation: copper Kα
Structure: a DFT-relaxed cell (PBE, the Materials Project)

Most intense lines, 10° ≤ 2θ ≤ 90°, by angle:
Position (°2θ)  Rel. int.  h k l
16.66  3.9  1 0 0
18.95  13.0  1 0 1
30.47  4.7  1 1 1
32.03  4.4  1 0 3
33.68  24.6  2 0 0
36.48  25.9  0 0 4
38.45  100.0  2 0 2
50.49  14.7  2 0 4
60.23  16.4  2 2 0
66.97  17.6  2 0 6
72.51  18.0  2 2 4
73.76  12.8  4 0 2

Cell and atoms:
```
data_Mg14CuC
_chemical_formula_sum 'Mg14 Cu1 C1'
_cell_length_a 6.1461
_cell_length_b 6.1461
_cell_length_c 9.8510
_cell_angle_alpha 90.00
_cell_angle_beta 90.00
_cell_angle_gamma 120.00
_symmetry_space_group_name_H-M 'P -6 m 2'
_symmetry_Int_Tables_number 187
_symmetry_space_group_name_Hall 'P -6 2'
loop_
_atom_site_label
_atom_site_fract_x
_atom_site_fract_y
_atom_site_fract_z
_atom_site_occupancy
Mg1 0.0000 0.0000 0.2482 1
Mg2 0.0138 0.5069 0.2534 1
Mg3 0.3310 0.1655 0.5000 1
Mg4 0.3335 0.1668 0.0000 1
Cu1 0.3333 0.6667 0.0000 1
C1 0.3333 0.6667 0.5000 1
```

---

(2)
Computed PXRD pattern
Compound: InSi7N10
Radiation: copper Kα
Structure: a DFT-relaxed cell (PBE, the Materials Project)

Most intense lines, 10° ≤ 2θ ≤ 90°, by angle:
Position (°2θ)  Rel. int.  h k l
19.29  29.7  1 1 -1
22.98  30.8  0 1 2
24.00  38.0  1 1 -2
26.05  100.0  0 2 0
29.19  51.2  1 1 2
29.35  32.9  2 1 -1
30.11  38.0  2 1 0
31.43  20.8  0 1 3
31.60  51.7  2 1 -2
37.16  28.2  1 2 2
37.26  42.6  2 0 2
39.48  48.7  1 1 -4

Cell and atoms:
```
data_InSi7N10
_chemical_formula_sum 'In2 Si14 N20'
_cell_length_a 6.831
_cell_length_b 6.842
_cell_length_c 9.733
_cell_angle_alpha 90.00
_cell_angle_beta 105.30
_cell_angle_gamma 90.00
_symmetry_space_group_name_H-M 'P 1 c 1'
_symmetry_Int_Tables_number 7
loop_
_symmetry_equiv_pos_as_xyz
'x,y,z'
'x,-y,z+1/2'
loop_
_atom_site_label
_atom_site_fract_x
_atom_site_fract_y
_atom_site_fract_z
_atom_site_occupancy
In1 0.000 0.002 0.000 1
Si1 0.146 0.400 0.902 1
Si2 0.335 0.382 0.211 1
Si3 0.393 0.022 0.847 1
Si4 0.521 0.369 0.515 1
Si5 0.578 0.022 0.153 1
Si6 0.700 0.366 0.820 1
Si7 0.886 0.382 0.135 1
N1 0.115 0.429 0.262 1
N2 0.193 0.162 0.861 1
N3 0.325 0.496 0.051 1
N4 0.361 0.132 0.196 1
N5 0.485 0.119 0.500 1
N6 0.533 0.462 0.351 1
N7 0.599 0.135 0.800 1
N8 0.736 0.419 0.652 1
N9 0.783 0.157 0.144 1
N10 0.922 0.385 0.958 1
```